This entry pairs a crystal structure of Cd5Ag8Hg with its calculated X-ray powder pattern. Radiation: copper Kα. Structure: a cell relaxed with GGA-PBE.
Neutral-atom scattering factors, no anomalous dispersion.

Main lines, sorted by position (2θ from 10° to 80°):
| two_theta | I_rel |
| --- | --- |
| 27.1 | 27 |
| 29.4 | 24 |
| 30.3 | 52 |
| 35.6 | 87 |
| 36.2 | 55 |
| 38.2 | 100 |
| 41.0 | 43 |
| 41.1 | 24 |
| 42.6 | 65 |
| 66.0 | 23 |

Crystal structure
a b c (Å): 7.324 7.324 7.324
angles (deg): 115.16 115.16 98.61
Sites, in units of the cell vectors:
Cd: 0.000 0.000 0.000
Cd: 0.302 0.667 0.087
Cd: 0.333 0.419 0.634
Cd: 0.581 0.215 0.913
Cd: 0.785 0.698 0.366
Ag: 0.060 0.464 0.246
Ag: 0.101 0.178 0.760
Ag: 0.186 0.940 0.404
Ag: 0.218 0.814 0.754
Ag: 0.419 0.342 0.240
Ag: 0.536 0.782 0.596
Ag: 0.658 0.899 0.077
Ag: 0.822 0.581 0.923
Hg: 0.750 0.250 0.500

This entry pairs a crystal structure of Ca2AcMgIn2 with its calculated X-ray powder pattern. Radiation: copper Kα. Structure: a cell relaxed with GGA-PBE.
Neutral-atom scattering factors, no anomalous dispersion.

Main lines, sorted by position (2θ from 10° to 80°):
| two_theta | I_rel |
| --- | --- |
| 23.0 | 100 |
| 25.3 | 38 |
| 27.1 | 33 |
| 30.1 | 21 |
| 36.1 | 31 |
| 38.8 | 44 |
| 43.2 | 38 |
| 46.9 | 18 |
| 54.1 | 14 |
| 66.8 | 21 |

Crystal structure
a b c (Å): 9.911 9.911 9.911
angles (deg): 150.94 150.94 41.57
Sites, in units of the cell vectors:
Ca: 0.250 0.750 0.500
Ca: 0.750 0.250 0.500
Ac: 0.000 0.000 0.000
Mg: 0.500 0.500 0.000
In: 0.359 0.359 0.000
In: 0.641 0.641 0.000

This entry pairs a crystal structure of CsPrUSe4 with its calculated X-ray powder pattern. Radiation: copper Kα. Structure: a cell relaxed with GGA-PBE.
Neutral-atom scattering factors, no anomalous dispersion.

Main lines, sorted by position (2θ from 10° to 80°):
| two_theta | I_rel |
| --- | --- |
| 11.7 | 79 |
| 22.4 | 33 |
| 23.2 | 66 |
| 23.3 | 29 |
| 23.5 | 31 |
| 27.5 | 65 |
| 28.5 | 33 |
| 35.5 | 64 |
| 37.2 | 33 |
| 40.0 | 100 |

Crystal structure
a b c (Å): 9.028 9.028 9.028
angles (deg): 120.78 116.63 92.29
Sites, in units of the cell vectors:
Cs: 0.390 0.140 0.250
Cs: 0.610 0.860 0.750
Pr: 0.000 0.500 0.500
Pr: 0.500 0.500 0.000
U: 0.000 0.000 0.500
U: 0.000 0.500 0.000
Se: 0.179 0.738 0.441
Se: 0.203 0.262 0.941
Se: 0.225 0.265 0.540
Se: 0.225 0.686 0.960
Se: 0.775 0.314 0.040
Se: 0.775 0.735 0.460
Se: 0.797 0.738 0.059
Se: 0.821 0.262 0.559

This entry pairs a crystal structure of Al5IrPd4 with its calculated X-ray powder pattern. Radiation: copper Kα. Structure: a cell relaxed with GGA-PBE.
Neutral-atom scattering factors, no anomalous dispersion.

Main lines, sorted by position (2θ from 10° to 80°):
| two_theta | I_rel |
| --- | --- |
| 28.5 | 28 |
| 29.5 | 52 |
| 41.5 | 100 |
| 42.2 | 48 |
| 51.7 | 22 |
| 61.2 | 16 |
| 67.4 | 10 |
| 68.8 | 9 |
| 75.2 | 17 |
| 76.6 | 32 |

Crystal structure
a b c (Å): 3.031 3.031 15.643
angles (deg): 90.00 90.00 90.00
Sites, in units of the cell vectors:
Al: 0.000 0.000 0.000
Al: 0.000 0.000 0.200
Al: 0.000 0.000 0.402
Al: 0.000 0.000 0.598
Al: 0.000 0.000 0.800
Ir: 0.500 0.500 0.500
Pd: 0.500 0.500 0.100
Pd: 0.500 0.500 0.301
Pd: 0.500 0.500 0.699
Pd: 0.500 0.500 0.900

This entry pairs a crystal structure of Na4TiO4 with its calculated X-ray powder pattern. Radiation: copper Kα. Structure: a cell relaxed with GGA-PBE.
Neutral-atom scattering factors, no anomalous dispersion.

Main lines, sorted by position (2θ from 10° to 80°):
| two_theta | I_rel |
| --- | --- |
| 19.4 | 35 |
| 28.7 | 59 |
| 30.1 | 100 |
| 32.4 | 25 |
| 33.6 | 27 |
| 34.7 | 72 |
| 45.8 | 30 |
| 51.8 | 31 |
| 54.4 | 34 |
| 60.7 | 26 |

Crystal structure
a b c (Å): 6.218 6.218 6.749
angles (deg): 90.00 90.00 88.92
Sites, in units of the cell vectors:
Na: 0.059 0.637 0.750
Na: 0.337 0.337 0.000
Na: 0.337 0.337 0.500
Na: 0.363 0.941 0.750
Na: 0.637 0.059 0.250
Na: 0.663 0.663 0.000
Na: 0.663 0.663 0.500
Na: 0.941 0.363 0.250
Ti: 0.171 0.829 0.250
Ti: 0.829 0.171 0.750
O: 0.117 0.237 0.750
O: 0.237 0.117 0.250
O: 0.293 0.707 0.025
O: 0.293 0.707 0.475
O: 0.707 0.293 0.525
O: 0.707 0.293 0.975
O: 0.763 0.883 0.750
O: 0.883 0.763 0.250

This entry pairs a crystal structure of Zr2PaSi with its calculated X-ray powder pattern. Radiation: copper Kα. Structure: a cell relaxed with GGA-PBE.
Neutral-atom scattering factors, no anomalous dispersion.

Main lines, sorted by position (2θ from 10° to 80°):
| two_theta | I_rel |
| --- | --- |
| 10.5 | 47 |
| 29.7 | 32 |
| 31.7 | 23 |
| 32.8 | 100 |
| 34.5 | 38 |
| 41.2 | 44 |
| 52.3 | 28 |
| 56.1 | 17 |
| 62.5 | 20 |
| 63.1 | 15 |

Crystal structure
a b c (Å): 8.695 8.695 8.695
angles (deg): 23.20 23.20 23.20
Sites, in units of the cell vectors:
Zr: 0.235 0.235 0.235
Zr: 0.765 0.765 0.765
Pa: 0.000 0.000 0.000
Si: 0.500 0.500 0.500